Calculated powder diffractogram of MgCoNO for CuKα, from a cell relaxed with GGA+U.
Neutral-atom scattering factors, no anomalous dispersion.

Structural model:
Unit cell a=2.830 b=2.830 c=4.452 alpha=90.00 beta=90.00 gamma=90.00
Fractional positions:
Mg: 0.000 0.000 0.000
Co: 0.500 0.500 0.500
N: 0.000 0.000 0.500
O: 0.500 0.500 0.000

Largest 10 diffraction maxima, in order of rising 2θ, 2θ = 10–80°:
2θ (°)  intensity
19.95  38
31.62  33
37.67  88
40.53  71
45.32  100
52.29  15
62.41  67
66.03  28
71.84  14
78.59  22